Entry 1:
Starting from a PBE-relaxed structure, the PXRD pattern of CsSc5Se8 was simulated for CuKα.
Lines closer than 0.1° are merged.

The 10 most intense peaks (2θ = 15–90°), in order of rising 2θ:
| two_theta | intensity |
| --- | --- |
| 28.3 | 33.5 |
| 29.3 | 46.2 |
| 29.4 | 100.0 |
| 30.7 | 76.8 |
| 31.3 | 30.1 |
| 36.5 | 31.8 |
| 41.8 | 23.1 |
| 46.5 | 27.5 |
| 46.9 | 51.1 |
| 52.4 | 20.9 |

Structure:
a b c (Å): 10.2224 10.2224 9.7704
angles (deg): 104.14 104.14 22.04
Positions (direct):
Cs 0.0000 0.0000 0.0000
Sc 0.1571 0.1571 0.4726
Sc 0.2054 0.2054 0.8430
Sc 0.5000 0.5000 0.5000
Sc 0.7946 0.7946 0.1570
Sc 0.8429 0.8429 0.5274
Se 0.0767 0.0767 0.6571
Se 0.2636 0.2636 0.3433
Se 0.3324 0.3324 0.0086
Se 0.4144 0.4144 0.6765
Se 0.5856 0.5856 0.3235
Se 0.6676 0.6676 0.9914
Se 0.7364 0.7364 0.6567
Se 0.9233 0.9233 0.3429

***

Entry 2:
Starting from a PBE-relaxed structure, the PXRD pattern of LaZn3Cl9 was simulated for CuKα.
Lines closer than 0.1° are merged.

The 10 most intense peaks (2θ = 15–90°), in order of rising 2θ:
| two_theta | intensity |
| --- | --- |
| 16.9 | 100.0 |
| 18.5 | 44.3 |
| 19.5 | 13.4 |
| 22.7 | 22.3 |
| 23.5 | 13.9 |
| 26.5 | 35.1 |
| 28.8 | 30.0 |
| 32.4 | 13.8 |
| 39.4 | 14.6 |
| 46.2 | 23.2 |

Structure:
a b c (Å): 10.1659 10.1659 13.1023
angles (deg): 124.94 124.94 52.45
Positions (direct):
La 0.2266 0.7734 0.5000
La 0.7734 0.2266 0.0000
Zn 0.0265 0.2705 0.8341
Zn 0.2705 0.0265 0.3341
Zn 0.2758 0.4326 0.6649
Zn 0.4326 0.2758 0.1649
Zn 0.6461 0.8130 0.2059
Zn 0.8130 0.6461 0.7059
Cl 0.0859 0.2180 0.2181
Cl 0.1070 0.9373 0.3288
Cl 0.1692 0.4323 0.0345
Cl 0.2180 0.0859 0.7181
Cl 0.2878 0.6634 0.6829
Cl 0.4033 0.4132 0.3689
Cl 0.4132 0.4033 0.8689
Cl 0.4323 0.1692 0.5345
Cl 0.4686 0.7742 0.2321
Cl 0.4791 0.9865 0.0775
Cl 0.5405 0.7805 0.5668
Cl 0.6634 0.2878 0.1829
Cl 0.7742 0.4686 0.7321
Cl 0.7805 0.5405 0.0668
Cl 0.8576 0.8820 0.4061
Cl 0.8820 0.8576 0.9061
Cl 0.9373 0.1070 0.8288
Cl 0.9865 0.4791 0.5775